Record 1
The following is a calculated X-ray diffraction stick pattern of ThPaTc2. It was derived from the PBE geometry in the Materials Project, using Cu Ka.

Most intense lines, 15 to 90 degrees two-theta, by intensity:
- d = 2.482 Å, intensity 1000
- d = 1.433 Å, intensity 367
- d = 1.755 Å, intensity 178
- d = 3.510 Å, intensity 173
- d = 1.110 Å, intensity 168
- d = 1.241 Å, intensity 115
- d = 1.570 Å, intensity 78
- d = 2.026 Å, intensity 56
- d = 1.170 Å, intensity 40

Crystal structure
```
data_ThPaTc2
_chemical_formula_sum 'Th1 Pa1 Tc2'
_symmetry_space_group_name_H-M 'P 1'
_symmetry_Int_Tables_number 1
_cell_length_a 4.9638
_cell_length_b 4.9638
_cell_length_c 4.9638
_cell_angle_alpha 60.00
_cell_angle_beta 60.00
_cell_angle_gamma 60.00
loop_
_symmetry_equiv_pos_as_xyz
'x,y,z'
loop_
_atom_site_label
_atom_site_fract_x
_atom_site_fract_y
_atom_site_fract_z
Th1 0.0000 0.0000 0.0000
Pa1 0.5000 0.5000 0.5000
Tc1 0.2500 0.2500 0.2500
Tc2 0.7500 0.7500 0.7500
```

***

Record 2
The following is a calculated X-ray diffraction stick pattern of TmPaTc2. It was derived from the PBE geometry in the Materials Project, using Cu Ka.

Most intense lines, 15 to 90 degrees two-theta, by intensity:
- d = 2.410 Å, intensity 1000
- d = 1.391 Å, intensity 357
- d = 1.704 Å, intensity 175
- d = 3.408 Å, intensity 126
- d = 1.205 Å, intensity 112
- d = 1.524 Å, intensity 55
- d = 1.968 Å, intensity 40
- d = 1.136 Å, intensity 29
- d = 3.935 Å, intensity 21
- d = 2.055 Å, intensity 12

Crystal structure
```
data_TmPaTc2
_chemical_formula_sum 'Tm1 Pa1 Tc2'
_symmetry_space_group_name_H-M 'P 1'
_symmetry_Int_Tables_number 1
_cell_length_a 4.8195
_cell_length_b 4.8195
_cell_length_c 4.8195
_cell_angle_alpha 60.00
_cell_angle_beta 60.00
_cell_angle_gamma 60.00
loop_
_symmetry_equiv_pos_as_xyz
'x,y,z'
loop_
_atom_site_label
_atom_site_fract_x
_atom_site_fract_y
_atom_site_fract_z
Tm1 0.0000 0.0000 0.0000
Pa1 0.5000 0.5000 0.5000
Tc1 0.2500 0.2500 0.2500
Tc2 0.7500 0.7500 0.7500
```

***

Record 3
The following is a calculated X-ray diffraction stick pattern of ZrPaTc2. It was derived from the PBE geometry in the Materials Project, using Cu Ka.

Most intense lines, 15 to 90 degrees two-theta, by intensity:
- d = 2.385 Å, intensity 1000
- d = 1.377 Å, intensity 351
- d = 1.687 Å, intensity 173
- d = 3.895 Å, intensity 148
- d = 1.193 Å, intensity 110
- d = 2.034 Å, intensity 85
- d = 3.373 Å, intensity 62
- d = 1.548 Å, intensity 37
- d = 1.140 Å, intensity 30
- d = 1.298 Å, intensity 29

Crystal structure
```
data_ZrPaTc2
_chemical_formula_sum 'Zr1 Pa1 Tc2'
_symmetry_space_group_name_H-M 'P 1'
_symmetry_Int_Tables_number 1
_cell_length_a 4.7705
_cell_length_b 4.7705
_cell_length_c 4.7705
_cell_angle_alpha 60.00
_cell_angle_beta 60.00
_cell_angle_gamma 60.00
loop_
_symmetry_equiv_pos_as_xyz
'x,y,z'
loop_
_atom_site_label
_atom_site_fract_x
_atom_site_fract_y
_atom_site_fract_z
Zr1 0.0000 0.0000 0.0000
Pa1 0.5000 0.5000 0.5000
Tc1 0.2500 0.2500 0.2500
Tc2 0.7500 0.7500 0.7500
```

***

Record 4
The following is a calculated X-ray diffraction stick pattern of PaTe3. It was derived from the PBE geometry in the Materials Project, using Cu Ka.

Most intense lines, 15 to 90 degrees two-theta, by intensity:
- d = 2.582 Å, intensity 1000
- d = 2.830 Å, intensity 290
- d = 2.902 Å, intensity 229
- d = 1.582 Å, intensity 226
- d = 1.442 Å, intensity 214
- d = 1.676 Å, intensity 176
- d = 2.026 Å, intensity 165
- d = 1.406 Å, intensity 146
- d = 1.150 Å, intensity 77
- d = 5.804 Å, intensity 73

Crystal structure
```
data_PaTe3
_chemical_formula_sum 'Pa2 Te6'
_symmetry_space_group_name_H-M 'P 1'
_symmetry_Int_Tables_number 1
_cell_length_a 6.7021
_cell_length_b 6.7021
_cell_length_c 5.6607
_cell_angle_alpha 90.00
_cell_angle_beta 90.00
_cell_angle_gamma 120.00
loop_
_symmetry_equiv_pos_as_xyz
'x,y,z'
loop_
_atom_site_label
_atom_site_fract_x
_atom_site_fract_y
_atom_site_fract_z
Pa1 0.3333 0.6667 0.2500
Pa2 0.6667 0.3333 0.7500
Te1 0.1756 0.3511 0.7500
Te2 0.1756 0.8244 0.7500
Te3 0.3511 0.1756 0.2500
Te4 0.6489 0.8244 0.7500
Te5 0.8244 0.1756 0.2500
Te6 0.8244 0.6489 0.2500
```